Structure and simulated PXRD pattern of Ba3W2N4 (a structure optimized by DFT (GGA-PBE); λ = 1.5418 Å (Cu Kα)).
Peak positions follow from Bragg's law for the DFT cell and can differ from measured ones.

Top 10 peaks for 2θ = 10–90°, by angle:
2theta	I_rel
18.6	29
26.0	32
27.4	38
29.0	100
29.6	48
29.9	35
31.1	23
33.1	21
37.5	33
44.6	29

abc: 7.765 7.765 6.147
angles: 90.98 90.98 88.29
Fractional positions:
1 Ba 0.055 0.945 0.750
2 Ba 0.244 0.562 0.494
3 Ba 0.438 0.756 0.006
4 Ba 0.562 0.244 0.994
5 Ba 0.756 0.438 0.506
6 Ba 0.945 0.055 0.250
7 W 0.140 0.372 0.983
8 W 0.372 0.140 0.483
9 W 0.628 0.860 0.517
10 W 0.860 0.628 0.017
11 N 0.106 0.626 0.913
12 N 0.254 0.265 0.725
13 N 0.265 0.254 0.225
14 N 0.374 0.894 0.587
15 N 0.626 0.106 0.413
16 N 0.735 0.746 0.775
17 N 0.746 0.735 0.275
18 N 0.894 0.374 0.087

---

Structure and simulated PXRD pattern of La5CuGe3 (a structure optimized by DFT (GGA-PBE); λ = 1.5418 Å (Cu Kα)).
Peak positions follow from Bragg's law for the DFT cell and can differ from measured ones.

Top 10 peaks for 2θ = 10–90°, by angle:
2theta	I_rel
23.2	10
32.3	53
32.7	100
33.5	70
47.5	28
50.3	15
51.4	13
59.3	14
65.1	20
66.2	11

abc: 9.278 9.278 6.782
angles: 90.00 90.00 120.00
Fractional positions:
1 La 0.000 0.270 0.250
2 La 0.000 0.730 0.750
3 La 0.270 0.000 0.250
4 La 0.270 0.270 0.750
5 La 0.333 0.667 0.000
6 La 0.333 0.667 0.500
7 La 0.667 0.333 0.000
8 La 0.667 0.333 0.500
9 La 0.730 0.000 0.750
10 La 0.730 0.730 0.250
11 Cu 0.000 0.000 0.000
12 Cu 0.000 0.000 0.500
13 Ge 0.000 0.381 0.750
14 Ge 0.000 0.619 0.250
15 Ge 0.381 0.000 0.750
16 Ge 0.381 0.381 0.250
17 Ge 0.619 0.000 0.250
18 Ge 0.619 0.619 0.750

---

Structure and simulated PXRD pattern of MnAlCo2 (a structure optimized by DFT (GGA-PBE); λ = 1.5418 Å (Cu Kα)).
Peak positions follow from Bragg's law for the DFT cell and can differ from measured ones.

Top 10 peaks for 2θ = 10–90°, by angle:
2theta	I_rel
27.1	5
31.4	6
45.0	100
53.3	2
55.9	1
65.5	15
72.2	1
74.4	1
83.0	29
89.3	1

abc: 4.031 4.031 4.031
angles: 60.00 60.00 60.00
Fractional positions:
1 Mn 0.000 0.000 0.000
2 Al 0.500 0.500 0.500
3 Co 0.250 0.250 0.250
4 Co 0.750 0.750 0.750

---

Structure and simulated PXRD pattern of Te4MoW3Se2S2 (a structure optimized by DFT (GGA-PBE); λ = 1.5418 Å (Cu Kα)).
Peak positions follow from Bragg's law for the DFT cell and can differ from measured ones.

Top 10 peaks for 2θ = 10–90°, by angle:
2theta	I_rel
10.7	100
12.9	16
30.4	34
32.3	13
35.1	59
41.9	47
43.5	14
54.0	24
55.2	10
73.8	11

abc: 3.397 3.397 41.157
angles: 90.00 90.00 120.00
Fractional positions:
1 Te 0.000 0.000 0.000
2 Te 0.000 0.000 0.092
3 Te 0.333 0.667 0.808
4 Te 0.333 0.667 0.899
5 Mo 0.333 0.667 0.667
6 W 0.000 0.000 0.480
7 W 0.000 0.000 0.853
8 W 0.333 0.667 0.046
9 Se 0.000 0.000 0.627
10 Se 0.000 0.000 0.707
11 S 0.333 0.667 0.443
12 S 0.333 0.667 0.516